Diffraction record for Y2Cr2O7. The X-ray powder pattern is simulated, not measured: it uses a crystal structure in Alexandria, relaxed with GGA+U and CuKα.
No peak broadening, texture or thermal motion is included.

Main lines, most intense first (10 to 80 degrees two-theta):
- d 2.909, rel. 100
- d 1.782, rel. 51
- d 1.519, rel. 38
- d 2.520, rel. 22
- d 2.312, rel. 11
- d 1.455, rel. 8
- d 5.819, rel. 5
- d 1.260, rel. 4
- d 1.940, rel. 4
- d 1.259, rel. 2

Atomic structure:
```
data_Y2Cr2O7
_chemical_formula_sum 'Y4 Cr4 O14'
_symmetry_space_group_name_H-M 'P 1'
_symmetry_Int_Tables_number 1
_cell_length_a 7.125
_cell_length_b 7.125
_cell_length_c 7.125
_cell_angle_alpha 119.95
_cell_angle_beta 119.95
_cell_angle_gamma 90.09
loop_
_symmetry_equiv_pos_as_xyz
'x,y,z'
loop_
_atom_site_label
_atom_site_type_symbol
_atom_site_fract_x
_atom_site_fract_y
_atom_site_fract_z
_atom_site_occupancy
Y1 Y 0.000 0.000 0.000 1
Y2 Y 0.500 0.000 0.000 1
Y3 Y 0.500 0.000 0.500 1
Y4 Y 0.500 0.500 0.500 1
Cr1 Cr 0.000 0.000 0.500 1
Cr2 Cr 0.000 0.500 0.000 1
Cr3 Cr 0.000 0.500 0.500 1
Cr4 Cr 0.500 0.500 0.000 1
O1 O 0.072 0.824 0.658 1
O2 O 0.080 0.830 0.250 1
O3 O 0.085 0.428 0.251 1
O4 O 0.324 0.166 0.751 1
O5 O 0.330 0.580 0.750 1
O6 O 0.334 0.585 0.158 1
O7 O 0.375 0.125 0.250 1
O8 O 0.625 0.875 0.750 1
O9 O 0.666 0.415 0.842 1
O10 O 0.670 0.420 0.250 1
O11 O 0.676 0.834 0.249 1
O12 O 0.915 0.572 0.749 1
O13 O 0.920 0.170 0.750 1
O14 O 0.928 0.176 0.342 1
```